Record 1
Calculated X-ray powder pattern
Compound: BaSr3Cd4
Radiation: Cu Kα, 1.54184 Å
Structure: a cell relaxed with GGA-PBE
Neutral-atom scattering factors, no anomalous dispersion.

Structural model:
Unit cell a=11.682 b=8.148 c=5.840 alpha=90.00 beta=90.00 gamma=90.00
Atoms (fractional coordinates):
Ba1 0.000 0.000 0.000
Ba2 0.500 0.000 0.000
Sr1 0.000 0.500 0.000
Sr2 0.250 0.000 0.499
Sr3 0.250 0.500 0.499
Sr4 0.500 0.500 0.000
Sr5 0.750 0.000 0.501
Sr6 0.750 0.500 0.501
Cd1 0.000 0.260 0.500
Cd2 0.000 0.740 0.500
Cd3 0.250 0.260 0.998
Cd4 0.250 0.740 0.998
Cd5 0.500 0.260 0.500
Cd6 0.500 0.740 0.500
Cd7 0.750 0.260 0.002
Cd8 0.750 0.740 0.002

Main lines, in order of rising 2θ (15 to 90 degrees two-theta):
d (Å)  2θ/deg  I (rel.)
2.920  30.61  51.4
2.900  30.83  100.0
2.065  43.84  18.8
1.682  54.55  38.4
1.671  54.96  18.3
1.450  64.23  11.3

Record 2
Calculated X-ray powder pattern
Compound: KSeF4
Radiation: Cu Kα, 1.54184 Å
Structure: a cell relaxed with GGA-PBE
Neutral-atom scattering factors, no anomalous dispersion.

Structural model:
Unit cell a=5.606 b=5.606 c=5.606 alpha=106.95 beta=106.95 gamma=114.63
Atoms (fractional coordinates):
K1 0.000 0.000 0.000
Se1 0.250 0.750 0.500
F1 0.046 0.546 0.092
F2 0.046 0.954 0.500
F3 0.454 0.546 0.500
F4 0.454 0.954 0.908

Main lines, in order of rising 2θ (15 to 90 degrees two-theta):
d (Å)  2θ/deg  I (rel.)
4.484  19.80  100.0
2.677  33.48  22.3
2.548  35.22  29.1
2.359  38.15  22.1
1.770  51.65  20.3
1.731  52.89  11.6

What is the formula in the first record?
BaSr3Cd4